BaSnMoO6: calculated powder X-ray diffraction pattern (copper Kα), based on DFT lattice parameters and positions (PBE+U).
Lines closer than 0.1° are merged.

Atomic structure:
Cell: 5.457 5.457 11.440 Å, 90.00 90.00 120.00°
Fractional coordinates of all 18 atoms:
Ba1 0.000 0.000 0.000
Ba2 0.000 0.000 0.500
Sn1 0.333 0.667 0.250
Sn2 0.667 0.333 0.750
Mo1 0.333 0.667 0.750
Mo2 0.667 0.333 0.250
O1 0.018 0.402 0.651
O2 0.018 0.616 0.849
O3 0.384 0.402 0.849
O4 0.384 0.982 0.651
O5 0.402 0.018 0.151
O6 0.402 0.384 0.349
O7 0.598 0.616 0.651
O8 0.598 0.982 0.849
O9 0.616 0.018 0.349
O10 0.616 0.598 0.151
O11 0.982 0.384 0.151
O12 0.982 0.598 0.349

Most intense lines, 2θ = 15–90°, in order of rising 2θ:
2θ = 15.49°, 5.720 Å, intensity 12, (0 0 2)
2θ = 24.43°, 3.643 Å, intensity 100, (1 0 2)
2θ = 32.82°, 2.729 Å, intensity 36, (1 1 0)
2θ = 41.34°, 2.184 Å, intensity 21, (2 0 2)
2θ = 45.97°, 1.974 Å, intensity 44, (1 1 4)
2θ = 51.70°, 1.768 Å, intensity 11, (1 0 6)
2θ = 53.76°, 1.705 Å, intensity 22, (2 1 2)
2θ = 58.60°, 1.575 Å, intensity 11, (3 0 0)